# 1
This entry pairs a crystal structure of Th2ZrUO8 with its simulated powder diffraction line list. Radiation: λ = 1.5418 Å (Cu Kα). Structure: the GGA-PBE geometry in the Materials Project.
No peak broadening, texture or thermal motion is included.

Cell and atoms:
```
data_Th2ZrUO8
_cell_length_a 3.8588
_cell_length_b 3.8588
_cell_length_c 10.9368
_cell_angle_alpha 90.00
_cell_angle_beta 90.00
_cell_angle_gamma 90.00
_symmetry_space_group_name_H-M 'P 4 m m'
_symmetry_Int_Tables_number 99
loop_
_symmetry_equiv_pos_as_xyz
'x,y,z'
'-y,x,z'
'-x,-y,z'
'y,-x,z'
'-x,y,z'
'y,x,z'
'x,-y,z'
'-y,-x,z'
loop_
_atom_site_label
_atom_site_type_symbol
_atom_site_fract_x
_atom_site_fract_y
_atom_site_fract_z
Th1 Th 0.0000 0.0000 0.0000
Th2 Th 0.5000 0.5000 0.2621
Zr1 Zr 0.0000 0.0000 0.5069
U1 U 0.5000 0.5000 0.7435
O1 O 0.0000 0.5000 0.1309
O2 O 0.0000 0.5000 0.3922
O3 O 0.0000 0.5000 0.6228
O4 O 0.0000 0.5000 0.8688
```

Main lines, by intensity (2θ = 10–90°):
2θ (°)	I_rel	hkl
28.3	100	1 0 2
47.1	50	2 0 0
55.8	46	2 1 2
32.8	35	1 1 0
76.0	18	3 0 2
87.5	11	3 1 4
58.6	10	2 0 4
78.3	9	3 1 0
24.4	8	0 0 3
68.8	5	2 2 0

# 2
This entry pairs a crystal structure of TlSbAs2PbS6 with its simulated powder diffraction line list. Radiation: λ = 1.5418 Å (Cu Kα). Structure: the GGA-PBE geometry in the Materials Project.
No peak broadening, texture or thermal motion is included.

Cell and atoms:
```
data_TlSbAs2PbS6
_cell_length_a 6.0768
_cell_length_b 24.6809
_cell_length_c 8.5392
_cell_angle_alpha 90.00
_cell_angle_beta 113.69
_cell_angle_gamma 90.00
_symmetry_space_group_name_H-M 'P 1 21/c 1'
_symmetry_Int_Tables_number 14
loop_
_symmetry_equiv_pos_as_xyz
'x,y,z'
'-x,-y,-z'
'-x,y+1/2,-z+1/2'
'x,-y+1/2,z+1/2'
loop_
_atom_site_label
_atom_site_type_symbol
_atom_site_fract_x
_atom_site_fract_y
_atom_site_fract_z
Tl1 Tl 0.2349 0.0620 0.0982
Sb1 Sb 0.0473 0.0708 0.5375
As1 As 0.3416 0.6536 0.8111
As2 As 0.3451 0.6653 0.4045
Pb1 Pb 0.1360 0.2457 0.5566
S1 S 0.0493 0.1646 0.2722
S2 S 0.0608 0.1642 0.7886
S3 S 0.1160 0.5123 0.2275
S4 S 0.3502 0.5965 0.5972
S5 S 0.3672 0.7412 0.5604
S6 S 0.3786 0.5853 0.0073
```

Main lines, by intensity (2θ = 10–90°):
2θ (°)	I_rel	hkl
31.0	100	1 6 -2
24.1	91	1 5 0
31.6	58	0 6 2
32.4	53	2 1 0
21.6	46	0 6 0
23.0	43	0 1 2
21.9	34	1 0 -2
36.1	32	2 5 -2
29.7	29	2 1 -1
37.7	28	1 5 2

# 3
This entry pairs a crystal structure of Te2MoW3Se6 with its simulated powder diffraction line list. Radiation: λ = 1.5418 Å (Cu Kα). Structure: the GGA-PBE geometry in the Materials Project.
No peak broadening, texture or thermal motion is included.

Cell and atoms:
```
data_Te2MoW3Se6
_cell_length_a 3.3810
_cell_length_b 3.3810
_cell_length_c 38.6430
_cell_angle_alpha 90.00
_cell_angle_beta 90.00
_cell_angle_gamma 120.00
_symmetry_space_group_name_H-M 'P 3 m 1'
_symmetry_Int_Tables_number 156
loop_
_symmetry_equiv_pos_as_xyz
'x,y,z'
'-y,x-y,z'
'-x+y,-x,z'
'-y,-x,z'
'-x+y,y,z'
'x,x-y,z'
loop_
_atom_site_label
_atom_site_type_symbol
_atom_site_fract_x
_atom_site_fract_y
_atom_site_fract_z
Te1 Te 0.0000 0.0000 0.0000
Te2 Te 0.0000 0.0000 0.0978
Mo1 Mo 0.6667 0.3333 0.6732
W1 W 0.0000 0.0000 0.2368
W2 W 0.0000 0.0000 0.8610
W3 W 0.6667 0.3333 0.0489
Se1 Se 0.0000 0.0000 0.6303
Se2 Se 0.0000 0.0000 0.7160
Se3 Se 0.6667 0.3333 0.1938
Se4 Se 0.6667 0.3333 0.2798
Se5 Se 0.6667 0.3333 0.8180
Se6 Se 0.6667 0.3333 0.9040
```

Main lines, by intensity (2θ = 10–90°):
2θ (°)	I_rel	hkl
11.4	100	0 0 5
35.9	75	1 0 8
43.4	49	1 0 13
30.6	40	1 0 0
54.3	30	1 1 0
13.7	18	0 0 6
45.1	17	0 1 14
37.2	17	0 0 16
32.7	13	1 0 5
76.5	13	1 1 21

# 4
This entry pairs a crystal structure of BaMg14Ni with its simulated powder diffraction line list. Radiation: λ = 1.5418 Å (Cu Kα). Structure: the GGA-PBE geometry in the Materials Project.
No peak broadening, texture or thermal motion is included.

Cell and atoms:
```
data_BaMg14Ni
_cell_length_a 6.4611
_cell_length_b 6.4611
_cell_length_c 10.6092
_cell_angle_alpha 90.00
_cell_angle_beta 90.00
_cell_angle_gamma 120.00
_symmetry_space_group_name_H-M 'P -6 m 2'
_symmetry_Int_Tables_number 187
_symmetry_space_group_name_Hall 'P -6 2'
loop_
_atom_site_label
_atom_site_type_symbol
_atom_site_fract_x
_atom_site_fract_y
_atom_site_fract_z
Ba1 Ba 0.0000 0.0000 0.0000
Mg1 Mg 0.0119 0.5060 0.0000
Mg2 Mg 0.1612 0.3224 0.2798
Mg3 Mg 0.5064 0.0127 0.5000
Mg4 Mg 0.6667 0.3333 0.2332
Ni1 Ni 0.0000 0.0000 0.5000
```

Main lines, by intensity (2θ = 10–90°):
2θ (°)	I_rel	hkl
36.3	100	2 0 2
15.8	38	1 0 0
32.0	29	2 0 0
23.1	28	1 0 2
33.8	23	0 0 4
47.2	19	2 0 4
57.0	17	2 2 0
67.9	17	2 2 4
62.1	15	2 0 6
69.5	14	4 0 2